Diffraction record for Ba6Pt2AuN. The X-ray powder pattern is simulated, not measured: it uses a crystal structure in Alexandria, relaxed with PBE and Cu Kα.
Intensities are scaled so that the largest is 1000.

Main lines, most intense first (2θ = 10–80°):
3.428 Å, I = 1000, (2 -1 3)
2.659 Å, I = 964, (1 1 6)
2.241 Å, I = 533, (3 0 0)
5.730 Å, I = 384, (0 1 2)
1.714 Å, I = 283, (4 -2 6)
4.246 Å, I = 242, (1 0 4)
2.062 Å, I = 192, (2 -1 9)
2.305 Å, I = 187, (2 1 4)

Structure:
a b c (Å): 7.7648 7.7648 21.9000
angles (deg): 90.00 90.00 120.00
Space group R3 (No. 146, hexagonal axes)
Asymmetric unit:
Ba: 0.0326 0.3586 0.0000 (multiplicity 9)
Ba: 0.0488 0.6747 0.1533 (multiplicity 9)
Pt: 0.0000 0.0000 0.0785 (multiplicity 3)
Pt: 0.0000 0.0000 0.5914 (multiplicity 3)
Au: 0.0000 0.0000 0.9039 (multiplicity 3)
N: 0.0000 0.0000 0.4034 (multiplicity 3)